The following is a simulated XRD peak list of V3O2F5. It was derived from a structure optimized by DFT (GGA+U), using copper Kα.
Neutral-atom scattering factors, no anomalous dispersion.

Atomic structure:
```
data_V3O2F5
_cell_length_a 6.415
_cell_length_b 7.499
_cell_length_c 13.838
_cell_angle_alpha 90.00
_cell_angle_beta 90.00
_cell_angle_gamma 90.00
_symmetry_space_group_name_H-M 'I m m m'
_symmetry_Int_Tables_number 71
_symmetry_space_group_name_Hall '-I 2 2'
loop_
_atom_site_label
_atom_site_type_symbol
_atom_site_fract_x
_atom_site_fract_y
_atom_site_fract_z
_atom_site_occupancy
V1 V 0.000 0.000 0.115 1
V2 V 0.250 0.250 0.250 1
O1 O 0.223 0.000 0.209 1
F1 F 0.000 0.221 0.334 1
F2 F 0.000 0.277 0.149 1
F3 F 0.192 0.000 0.000 1
```

Most intense lines, 5° ≤ 2θ ≤ 70°, sorted by position:
d (Å)	I_rel	hkl
6.919	1000	0 0 2
6.593	334	0 1 1
5.820	179	1 0 1
4.875	190	1 1 0
3.297	274	0 2 2
2.910	94	2 0 2
2.352	347	2 0 4
1.874	157	0 4 0
1.675	152	2 2 6
1.466	112	2 4 4